Record 1
Starting from a cell relaxed with GGA-PBE, the powder diffraction line list of MnCdTe was calculated for Cu Kα, 1.54184 Å.

Principal peaks in the range 2θ = 10–80°, in order of rising 2θ:
| 2θ (°) | Rel. int. |
| --- | --- |
| 33.2 | 55.0 |
| 34.5 | 100.0 |
| 34.9 | 99.8 |
| 35.2 | 87.8 |
| 35.4 | 81.9 |
| 43.4 | 46.6 |

Cell lengths 8.480, 6.398, 5.406 Å; angles 90.00, 128.65, 90.00 degrees
Fractional positions:
Mn: 0.000 0.002 0.000
Mn: 0.000 0.998 0.500
Mn: 0.500 0.498 0.500
Mn: 0.500 0.502 0.000
Cd: 0.349 0.157 0.095
Cd: 0.349 0.843 0.595
Cd: 0.849 0.343 0.595
Cd: 0.849 0.657 0.095
Te: 0.173 0.324 0.422
Te: 0.173 0.676 0.922
Te: 0.673 0.176 0.922
Te: 0.673 0.824 0.422

Record 2
Starting from a cell relaxed with GGA-PBE, the powder diffraction line list of GaHO2 was calculated for Cu Kα, 1.54184 Å.

Principal peaks in the range 2θ = 10–80°, in order of rising 2θ:
| 2θ (°) | Rel. int. |
| --- | --- |
| 19.3 | 29.5 |
| 29.6 | 78.6 |
| 31.2 | 100.0 |
| 46.9 | 44.9 |
| 51.4 | 61.9 |
| 62.2 | 29.1 |

Cell lengths 6.201, 5.248, 6.010 Å; angles 66.45, 50.88, 62.67 degrees
Fractional positions:
Ga: 0.000 0.000 0.000
Ga: 0.250 0.250 0.250
Ga: 0.396 0.396 0.604
Ga: 0.646 0.646 0.854
H: 0.010 0.836 0.409
H: 0.506 0.841 0.414
H: 0.836 0.010 0.744
H: 0.841 0.506 0.240
O: 0.061 0.335 0.670
O: 0.316 0.580 0.915
O: 0.335 0.061 0.934
O: 0.347 0.829 0.425
O: 0.580 0.316 0.189
O: 0.825 0.850 0.903
O: 0.829 0.347 0.400
O: 0.850 0.825 0.421

Record 3
Starting from a cell relaxed with GGA-PBE, the powder diffraction line list of Ca4PbN4 was calculated for Cu Kα, 1.54184 Å.

Principal peaks in the range 2θ = 10–80°, in order of rising 2θ:
| 2θ (°) | Rel. int. |
| --- | --- |
| 16.1 | 72.7 |
| 18.1 | 100.0 |
| 30.8 | 63.7 |
| 31.0 | 72.8 |
| 31.2 | 63.7 |
| 35.0 | 57.8 |

Cell lengths 6.196, 6.222, 9.337 Å; angles 71.66, 85.00, 68.73 degrees
Fractional positions:
Ca: 0.229 0.325 0.297
Ca: 0.239 0.556 0.923
Ca: 0.246 0.971 0.089
Ca: 0.249 0.747 0.503
Ca: 0.751 0.253 0.497
Ca: 0.754 0.029 0.911
Ca: 0.761 0.444 0.077
Ca: 0.771 0.675 0.703
Pb: 0.223 0.109 0.731
Pb: 0.777 0.891 0.269
N: 0.001 0.904 0.698
N: 0.004 0.697 0.112
N: 0.350 0.326 0.536
N: 0.499 0.797 0.894
N: 0.501 0.203 0.106
N: 0.650 0.674 0.464
N: 0.996 0.303 0.888
N: 0.999 0.096 0.302

Record 4
Starting from a cell relaxed with GGA-PBE, the powder diffraction line list of La2Te3 was calculated for Cu Kα, 1.54184 Å.

Principal peaks in the range 2θ = 10–80°, in order of rising 2θ:
| 2θ (°) | Rel. int. |
| --- | --- |
| 29.2 | 100.0 |
| 34.7 | 73.7 |
| 41.7 | 13.5 |
| 45.9 | 17.4 |
| 58.8 | 18.6 |
| 62.1 | 15.2 |

Cell lengths 16.073, 16.073, 16.073 Å; angles 144.97, 144.97, 50.37 degrees
Fractional positions:
La: 0.046 0.160 0.625
La: 0.168 0.168 0.000
La: 0.171 0.785 0.875
La: 0.215 0.090 0.386
La: 0.255 0.625 0.130
La: 0.375 0.505 0.630
La: 0.495 0.125 0.870
La: 0.535 0.421 0.375
La: 0.579 0.954 0.114
La: 0.582 0.082 0.500
La: 0.704 0.829 0.614
La: 0.832 0.832 0.000
La: 0.840 0.465 0.886
La: 0.875 0.745 0.370
La: 0.910 0.296 0.125
La: 0.918 0.418 0.500
Te: 0.008 0.760 0.902
Te: 0.073 0.470 0.247
Te: 0.174 0.927 0.398
Te: 0.186 0.439 0.094
Te: 0.189 0.436 0.594
Te: 0.221 0.323 0.747
Te: 0.223 0.826 0.753
Te: 0.240 0.143 0.248
Te: 0.346 0.092 0.906
Te: 0.404 0.811 0.246
Te: 0.510 0.258 0.402
Te: 0.527 0.779 0.102
Te: 0.529 0.777 0.602
Te: 0.561 0.654 0.746
Te: 0.564 0.158 0.754
Te: 0.576 0.473 0.253
Te: 0.677 0.424 0.898
Te: 0.742 0.145 0.252
Te: 0.842 0.596 0.406
Te: 0.855 0.107 0.598
Te: 0.857 0.105 0.098
Te: 0.893 0.490 0.748
Te: 0.895 0.992 0.752
Te: 0.908 0.814 0.254

Record 5
Starting from a cell relaxed with GGA-PBE, the powder diffraction line list of LiLaHfTiO6 was calculated for Cu Kα, 1.54184 Å.

Principal peaks in the range 2θ = 10–80°, in order of rising 2θ:
| 2θ (°) | Rel. int. |
| --- | --- |
| 19.2 | 66.4 |
| 31.7 | 100.0 |
| 37.3 | 40.1 |
| 45.4 | 34.9 |
| 56.4 | 39.8 |
| 66.2 | 20.8 |

Cell lengths 5.648, 5.648, 5.648 Å; angles 60.00, 60.00, 60.00 degrees
Fractional positions:
Li: 0.000 0.000 0.000
La: 0.500 0.500 0.500
Hf: 0.250 0.250 0.250
Ti: 0.750 0.750 0.750
O: 0.506 0.506 0.994
O: 0.506 0.994 0.506
O: 0.506 0.994 0.994
O: 0.994 0.506 0.506
O: 0.994 0.506 0.994
O: 0.994 0.994 0.506

Record 6
Starting from a cell relaxed with GGA-PBE, the powder diffraction line list of Cs2SiP4H2O14 was calculated for Cu Kα, 1.54184 Å.

Principal peaks in the range 2θ = 10–80°, in order of rising 2θ:
| 2θ (°) | Rel. int. |
| --- | --- |
| 21.3 | 64.7 |
| 23.1 | 87.9 |
| 23.3 | 65.3 |
| 25.3 | 54.8 |
| 26.0 | 94.4 |
| 27.7 | 100.0 |

Cell lengths 9.247, 9.408, 9.702 Å; angles 94.97, 111.22, 112.90 degrees
Fractional positions:
Cs: 0.194 0.329 0.221
Cs: 0.209 0.740 0.533
Cs: 0.791 0.260 0.467
Cs: 0.806 0.671 0.779
Si: 0.500 0.000 0.000
Si: 0.500 0.500 0.000
P: 0.240 0.645 0.934
P: 0.242 0.142 0.857
P: 0.297 0.346 0.648
P: 0.310 0.876 0.198
P: 0.690 0.124 0.802
P: 0.703 0.654 0.352
P: 0.758 0.858 0.143
P: 0.760 0.355 0.066
H: 0.075 0.930 0.188
H: 0.480 0.244 0.630
H: 0.520 0.756 0.370
H: 0.925 0.070 0.812
O: 0.073 0.039 0.861
O: 0.076 0.534 0.799
O: 0.167 0.377 0.527
O: 0.186 0.713 0.061
O: 0.189 0.919 0.250
O: 0.198 0.183 0.691
O: 0.344 0.304 0.979
O: 0.351 0.798 0.899
O: 0.355 0.057 0.861
O: 0.357 0.574 0.028
O: 0.398 0.004 0.126
O: 0.406 0.481 0.799
O: 0.419 0.315 0.585
O: 0.434 0.852 0.335
O: 0.566 0.148 0.665
O: 0.581 0.685 0.415
O: 0.594 0.519 0.201
O: 0.602 0.996 0.874
O: 0.643 0.426 0.972
O: 0.645 0.943 0.139
O: 0.649 0.202 0.101
O: 0.656 0.696 0.021
O: 0.802 0.817 0.309
O: 0.811 0.081 0.750
O: 0.814 0.287 0.939
O: 0.833 0.623 0.473
O: 0.924 0.466 0.201
O: 0.927 0.961 0.139

Record 7
Starting from a cell relaxed with GGA-PBE, the powder diffraction line list of ErSi2 was calculated for Cu Kα, 1.54184 Å.

Principal peaks in the range 2θ = 10–80°, in order of rising 2θ:
| 2θ (°) | Rel. int. |
| --- | --- |
| 25.2 | 53.7 |
| 34.3 | 100.0 |
| 44.4 | 31.8 |
| 57.3 | 22.9 |
| 66.4 | 19.2 |
| 75.2 | 20.6 |

Cell lengths 4.082, 4.082, 3.887 Å; angles 90.00, 90.00, 120.00 degrees
Fractional positions:
Er: 0.000 0.000 0.000
Si: 0.333 0.667 0.500
Si: 0.667 0.333 0.500

Number 3 is which compound? Ca4PbN4